Diffraction record for K4HgH. The X-ray powder pattern is computed, not measured: it uses DFT lattice parameters and positions (PBE) and Cu Kα (weighted mean of Kα1 and Kα2).
No peak broadening, texture or thermal motion is included.

Atomic structure:
```
K4HgH
1.0
5.5921 0.0000 0.0000
0.0000 10.7411 0.0000
0.0000 0.0000 8.7649
K Hg H
8 2 2
direct
0.2500 0.0641 0.1725 K
0.2500 0.2500 0.7071 K
0.2500 0.4359 0.1725 K
0.2500 0.7500 0.5944 K
0.7500 0.2500 0.4056 K
0.7500 0.5641 0.8275 K
0.7500 0.7500 0.2929 K
0.7500 0.9359 0.8275 K
0.2500 0.7500 0.0041 Hg
0.7500 0.2500 0.9959 Hg
0.2500 0.2500 0.3863 H
0.7500 0.7500 0.6137 H
```

Largest 10 diffraction maxima, in order of rising 2θ, 2θ = 10–90°:
(0 0 1), 10.1°, d = 8.765 Å, I = 100; (0 2 0), 16.5°, d = 5.371 Å, I = 50; (1 1 0), 17.9°, d = 4.960 Å, I = 43; (1 1 1), 20.6°, d = 4.317 Å, I = 61; (0 2 2), 26.2°, d = 3.395 Å, I = 30; (1 1 2), 27.2°, d = 3.284 Å, I = 88; (1 3 0), 29.6°, d = 3.015 Å, I = 37; (1 3 1), 31.4°, d = 2.851 Å, I = 39; (0 2 3), 35.0°, d = 2.567 Å, I = 35; (2 2 0), 36.2°, d = 2.483 Å, I = 40